CsLiCe2F8: calculated powder diffractogram (Cu Kα (λ = 1.5418 Å)), based on a structure optimized by DFT (PBE).
No peak broadening, texture or thermal motion is included.

Atomic structure:
```
CsLiCe2F8
1.0
4.4795 0.0000 0.0000
-0.1428 6.7168 0.0000
-0.4224 -1.0613 7.6743
Cs Li Ce F
1 1 2 8
Direct
0.0000 0.0000 0.0000 Cs
0.0000 0.0000 0.5000 Li
0.4299 0.4642 0.7392 Ce
0.5701 0.5358 0.2608 Ce
0.0645 0.4253 0.2329 F
0.1457 0.1665 0.6845 F
0.4009 0.6947 0.5338 F
0.4617 0.6977 0.0075 F
0.5383 0.3023 0.9925 F
0.5991 0.3053 0.4662 F
0.8543 0.8335 0.3155 F
0.9355 0.5747 0.7671 F
```

Largest 10 diffraction maxima, low angle first, 2θ = 10–80°:
d (Å)	2theta	I_rel
6.653	13.31	50
4.717	18.81	29
3.764	23.64	100
3.662	24.30	48
3.540	25.15	62
3.327	26.80	32
3.143	28.40	38
2.999	29.79	23
2.388	37.67	20
2.296	39.24	25

CsCeMg2F8: calculated powder diffractogram (Cu Kα (λ = 1.5418 Å)), based on a structure optimized by DFT (PBE).
No peak broadening, texture or thermal motion is included.

Atomic structure:
```
CsCeMg2F8
1.0
2.8681 1.6559 8.0621
-2.8681 1.6559 8.0621
0.0000 -3.3118 8.0621
Cs Ce Mg F
1 1 2 8
Direct
0.0000 0.0000 0.0000 Cs
0.5000 0.5000 0.5000 Ce
0.2525 0.2525 0.2525 Mg
0.7475 0.7475 0.7475 Mg
0.0948 0.4857 0.7555 F
0.2445 0.9052 0.5143 F
0.3284 0.3284 0.3284 F
0.4857 0.7555 0.0948 F
0.5143 0.2445 0.9052 F
0.6716 0.6716 0.6716 F
0.7555 0.0948 0.4857 F
0.9052 0.5143 0.2445 F
```

Largest 10 diffraction maxima, low angle first, 2θ = 10–80°:
d (Å)	2theta	I_rel
4.595	19.32	50
4.031	22.05	14
3.838	23.17	100
2.868	31.18	42
2.583	34.74	28
2.337	38.52	44
2.298	39.21	18
1.793	50.93	21
1.656	55.49	17
1.649	55.74	26

Cs2CeMgF6: calculated powder diffractogram (Cu Kα (λ = 1.5418 Å)), based on a structure optimized by DFT (PBE).
No peak broadening, texture or thermal motion is included.

Atomic structure:
```
Cs2CeMgF6
1.0
-3.1325 3.3323 4.4967
3.1325 -3.3323 4.4967
3.1325 3.3323 -4.4967
Cs Ce Mg F
2 1 1 6
Direct
0.2490 0.2490 0.0000 Cs
0.7510 0.7510 0.0000 Cs
0.5000 0.0000 0.5000 Ce
0.0000 0.5000 0.5000 Mg
0.2151 0.2626 0.4777 F
0.2151 0.7374 0.9526 F
0.2312 0.7312 0.5000 F
0.7688 0.2688 0.5000 F
0.7849 0.2626 0.0474 F
0.7849 0.7374 0.5223 F
```

Largest 10 diffraction maxima, low angle first, 2θ = 10–80°:
d (Å)	2theta	I_rel
5.141	17.25	11
3.332	26.75	28
3.203	27.85	100
3.132	28.49	23
2.282	39.48	37
2.248	40.10	18
1.898	47.93	22
1.864	48.87	11
1.822	50.07	19
1.602	57.54	23

Cs4Na3CeF12: calculated powder diffractogram (Cu Kα (λ = 1.5418 Å)), based on a structure optimized by DFT (PBE).
No peak broadening, texture or thermal motion is included.

Atomic structure:
```
Cs4Na3CeF12
1.0
-4.6280 4.6280 4.6280
4.6280 -4.6280 4.6280
4.6280 4.6280 -4.6280
Cs Na Ce F
4 3 1 12
Direct
0.0000 0.0000 0.5000 Cs
0.0000 0.5000 0.0000 Cs
0.5000 0.0000 0.0000 Cs
0.5000 0.5000 0.5000 Cs
0.0000 0.5000 0.5000 Na
0.5000 0.0000 0.5000 Na
0.5000 0.5000 0.0000 Na
0.0000 0.0000 0.0000 Ce
0.0000 0.2341 0.2341 F
0.0000 0.7659 0.7659 F
0.2341 0.0000 0.2341 F
0.2341 0.2341 0.0000 F
0.2500 0.5000 0.7500 F
0.2500 0.7500 0.5000 F
0.5000 0.2500 0.7500 F
0.5000 0.7500 0.2500 F
0.7500 0.2500 0.5000 F
0.7500 0.5000 0.2500 F
0.7659 0.0000 0.7659 F
0.7659 0.7659 0.0000 F
```

Largest 10 diffraction maxima, low angle first, 2θ = 10–80°:
d (Å)	2theta	I_rel
6.545	13.53	18
4.628	19.18	13
3.779	23.54	10
3.273	27.25	100
2.672	33.54	27
2.314	38.92	42
1.889	48.16	42
1.636	56.22	26
1.464	63.57	19
1.237	77.11	22